B5C7: simulated X-ray powder pattern (a wavelength of 1.5418 Å), based on a crystal structure in Alexandria, relaxed with GGA-PBE.
Intensities are scaled so that the largest is 100.

Atomic structure:
```
B5C7
1.0
6.346 -1.269 0.000
6.346 1.269 0.000
-1.070 0.000 4.922
B C
5 7
direct
0.000 0.000 0.000
0.024 0.024 0.467
0.121 0.121 0.769
0.418 0.418 0.430
0.690 0.690 0.304
0.105 0.105 0.246
0.343 0.343 0.132
0.344 0.344 0.650
0.422 0.422 0.931
0.697 0.697 0.817
0.772 0.772 0.610
0.774 0.774 0.095
```

Top 10 peaks for 10° ≤ 2θ ≤ 80°, in order of rising 2θ:
6.201 Å, intensity 35; 4.922 Å, intensity 4; 4.329 Å, intensity 6; 2.163 Å, intensity 100; 2.137 Å, intensity 31; 1.359 Å, intensity 16; 1.345 Å, intensity 18; 1.269 Å, intensity 8; 1.259 Å, intensity 7; 1.211 Å, intensity 5


B5C: simulated X-ray powder pattern (a wavelength of 1.5418 Å), based on a crystal structure in Alexandria, relaxed with GGA-PBE.
Intensities are scaled so that the largest is 100.

Atomic structure:
```
B5C
1.0
4.169 0.000 0.000
0.000 4.098 0.000
-2.674 0.000 5.906
B C
10 2
direct
0.000 0.163 0.250
0.000 0.837 0.750
0.155 0.467 0.141
0.155 0.533 0.641
0.373 0.056 0.859
0.373 0.944 0.359
0.627 0.056 0.641
0.627 0.944 0.141
0.845 0.467 0.359
0.845 0.533 0.859
0.500 0.339 0.750
0.500 0.661 0.250
```

Top 10 peaks for 10° ≤ 2θ ≤ 80°, in order of rising 2θ:
2.953 Å, intensity 77; 2.878 Å, intensity 57; 2.786 Å, intensity 18; 2.425 Å, intensity 100; 2.268 Å, intensity 54; 1.507 Å, intensity 25; 1.458 Å, intensity 13; 1.439 Å, intensity 18; 1.362 Å, intensity 14; 1.209 Å, intensity 11


B5C7: simulated X-ray powder pattern (a wavelength of 1.5418 Å), based on a crystal structure in Alexandria, relaxed with GGA-PBE.
Intensities are scaled so that the largest is 100.

Atomic structure:
```
B5C7
1.0
4.106 -1.806 0.000
4.106 1.806 0.000
-0.901 0.000 5.129
B C
5 7
direct
0.000 0.000 0.000
0.336 0.077 0.103
0.597 0.355 0.737
0.645 0.403 0.263
0.923 0.664 0.897
0.189 0.434 0.650
0.205 0.528 0.175
0.285 0.031 0.576
0.472 0.795 0.825
0.566 0.811 0.350
0.896 0.104 0.500
0.969 0.715 0.424
```

Top 10 peaks for 10° ≤ 2θ ≤ 80°, in order of rising 2θ:
5.129 Å, intensity 20; 3.299 Å, intensity 11; 2.161 Å, intensity 80; 2.097 Å, intensity 100; 1.899 Å, intensity 16; 1.348 Å, intensity 8; 1.345 Å, intensity 21; 1.341 Å, intensity 8; 1.288 Å, intensity 14; 1.254 Å, intensity 16


B5C7: simulated X-ray powder pattern (a wavelength of 1.5418 Å), based on a crystal structure in Alexandria, relaxed with GGA-PBE.
Intensities are scaled so that the largest is 100.

Atomic structure:
```
B5C7
1.0
2.446 0.000 0.000
0.000 2.580 0.000
0.000 0.000 12.451
B C
5 7
direct
0.000 0.000 0.000
0.000 0.000 0.345
0.500 0.000 0.235
0.500 0.000 0.889
0.500 0.500 0.511
0.000 0.000 0.664
0.000 0.500 0.083
0.000 0.500 0.421
0.000 0.500 0.741
0.500 0.000 0.595
0.500 0.500 0.151
0.500 0.500 0.810
```

Top 10 peaks for 10° ≤ 2θ ≤ 80°, in order of rising 2θ:
6.226 Å, intensity 26; 4.150 Å, intensity 14; 3.113 Å, intensity 4; 2.191 Å, intensity 100; 2.107 Å, intensity 86; 1.349 Å, intensity 46; 1.290 Å, intensity 12; 1.223 Å, intensity 10; 1.219 Å, intensity 6; 1.204 Å, intensity 5